The following is a calculated powder X-ray diffraction pattern of Cs3Li2ErBr8. It was derived from a crystal structure in Alexandria, relaxed with GGA-PBE, using Cu Kα, 1.54184 Å.
Neutral-atom scattering factors, no anomalous dispersion.

Principal peaks in the range 2θ from 10° to 90°, in order of rising 2θ:
| 2θ/deg | d/Å | I_rel |
| --- | --- | --- |
| 21.7 | 4.087 | 29 |
| 22.6 | 3.933 | 80 |
| 26.2 | 3.406 | 48 |
| 27.6 | 3.231 | 95 |
| 28.6 | 3.116 | 53 |
| 31.6 | 2.834 | 100 |
| 37.3 | 2.408 | 35 |
| 44.3 | 2.043 | 42 |
| 46.2 | 1.966 | 55 |
| 53.8 | 1.703 | 44 |

Structural model:
```
Cs3Li2ErBr8
1.0
7.8659 0.0000 0.0000
-3.9329 6.8120 0.0000
0.0000 0.0000 10.2163
Cs Li Er Br
3 2 1 8
Direct
0.0000 0.0000 0.0000 Cs
0.3333 0.6667 0.6510 Cs
0.6667 0.3333 0.3490 Cs
0.3333 0.6667 0.2167 Li
0.6667 0.3333 0.7833 Li
0.0000 0.0000 0.5000 Er
0.1639 0.3279 0.3387 Br
0.1639 0.8361 0.3387 Br
0.3279 0.1639 0.6613 Br
0.3333 0.6667 0.9854 Br
0.6667 0.3333 0.0146 Br
0.6721 0.8361 0.3387 Br
0.8361 0.1639 0.6613 Br
0.8361 0.6721 0.6613 Br
```

=====

The following is a calculated powder X-ray diffraction pattern of Pu3GeAs2. It was derived from a crystal structure in Alexandria, relaxed with GGA-PBE, using Cu Kα, 1.54184 Å.
Neutral-atom scattering factors, no anomalous dispersion.

Principal peaks in the range 2θ from 10° to 90°, in order of rising 2θ:
| 2θ/deg | d/Å | I_rel |
| --- | --- | --- |
| 26.3 | 3.388 | 36 |
| 26.4 | 3.380 | 12 |
| 30.5 | 2.932 | 100 |
| 43.6 | 2.074 | 51 |
| 43.7 | 2.071 | 25 |
| 51.7 | 1.769 | 14 |
| 54.1 | 1.694 | 20 |
| 63.5 | 1.466 | 13 |
| 72.1 | 1.310 | 23 |
| 80.2 | 1.197 | 13 |

Structural model:
```
Pu3GeAs2
1.0
3.5981 -6.2184 0.0000
3.5981 6.2184 0.0000
-2.3956 0.0000 6.7595
Pu Ge As
6 2 4
Direct
0.0000 0.5000 0.5000 Pu
0.1597 0.3304 0.0005 Pu
0.3304 0.1597 0.5005 Pu
0.5000 0.0000 0.0000 Pu
0.6696 0.8403 0.4995 Pu
0.8403 0.6696 0.9995 Pu
0.4157 0.5843 0.7500 Ge
0.5843 0.4157 0.2500 Ge
0.0824 0.9176 0.7500 As
0.2507 0.7493 0.2500 As
0.7493 0.2507 0.7500 As
0.9176 0.0824 0.2500 As
```

=====

The following is a calculated powder X-ray diffraction pattern of La8C3N. It was derived from a crystal structure in Alexandria, relaxed with GGA-PBE, using Cu Kα, 1.54184 Å.
Neutral-atom scattering factors, no anomalous dispersion.

Principal peaks in the range 2θ from 10° to 90°, in order of rising 2θ:
| 2θ/deg | d/Å | I_rel |
| --- | --- | --- |
| 28.3 | 3.158 | 71 |
| 30.8 | 2.900 | 100 |
| 34.8 | 2.579 | 28 |
| 45.4 | 1.997 | 13 |
| 48.3 | 1.885 | 27 |
| 51.7 | 1.768 | 22 |
| 56.9 | 1.619 | 33 |
| 58.4 | 1.581 | 15 |
| 79.1 | 1.211 | 14 |
| 79.2 | 1.210 | 10 |

Structural model:
```
La8C3N
1.0
7.5417 0.0000 0.0000
-3.7709 6.5313 0.0000
0.0000 0.0000 12.6174
La C N
16 6 2
Direct
0.0000 0.0000 0.0000 La
0.0000 0.0000 0.5000 La
0.0235 0.5117 0.0091 La
0.1695 0.3390 0.2690 La
0.1695 0.8305 0.2690 La
0.3333 0.6667 0.7777 La
0.3390 0.1695 0.7690 La
0.4883 0.5117 0.0091 La
0.4883 0.9765 0.0091 La
0.5117 0.0235 0.5091 La
0.5117 0.4883 0.5091 La
0.6610 0.8305 0.2690 La
0.6667 0.3333 0.2777 La
0.8305 0.1695 0.7690 La
0.8305 0.6610 0.7690 La
0.9765 0.4883 0.5091 La
0.1645 0.3290 0.8890 C
0.1645 0.8355 0.8890 C
0.3290 0.1645 0.3890 C
0.6710 0.8355 0.8890 C
0.8355 0.1645 0.3890 C
0.8355 0.6710 0.3890 C
0.3333 0.6667 0.1314 N
0.6667 0.3333 0.6314 N
```

=====

The following is a calculated powder X-ray diffraction pattern of SrSi2SnS8. It was derived from a crystal structure in Alexandria, relaxed with GGA-PBE, using Cu Kα, 1.54184 Å.
Neutral-atom scattering factors, no anomalous dispersion.

Principal peaks in the range 2θ from 10° to 90°, in order of rising 2θ:
| 2θ/deg | d/Å | I_rel |
| --- | --- | --- |
| 17.2 | 5.156 | 63 |
| 19.9 | 4.468 | 34 |
| 26.4 | 3.378 | 90 |
| 30.0 | 2.978 | 56 |
| 31.7 | 2.825 | 42 |
| 36.3 | 2.478 | 100 |
| 40.4 | 2.234 | 44 |
| 51.1 | 1.787 | 78 |
| 53.3 | 1.719 | 40 |
| 68.9 | 1.362 | 28 |

Structural model:
```
SrSi2SnS8
1.0
5.9541 0.0000 0.0000
-2.9770 5.1564 0.0000
0.0000 0.0000 8.9441
Sr Si Sn S
1 2 1 8
Direct
0.0000 0.0000 0.0000 Sr
0.3333 0.6667 0.7472 Si
0.6667 0.3333 0.2528 Si
0.0000 0.0000 0.5000 Sn
0.0175 0.6799 0.3127 S
0.3201 0.3376 0.3127 S
0.3333 0.6667 0.9841 S
0.3376 0.0175 0.6873 S
0.6624 0.9825 0.3127 S
0.6667 0.3333 0.0159 S
0.6799 0.6624 0.6873 S
0.9825 0.3201 0.6873 S
```

=====

The following is a calculated powder X-ray diffraction pattern of YHoMg5. It was derived from a crystal structure in Alexandria, relaxed with GGA-PBE, using Cu Kα, 1.54184 Å.
Neutral-atom scattering factors, no anomalous dispersion.

Principal peaks in the range 2θ from 10° to 90°, in order of rising 2θ:
| 2θ/deg | d/Å | I_rel |
| --- | --- | --- |
| 18.3 | 4.845 | 46 |
| 19.1 | 4.645 | 100 |
| 25.7 | 3.462 | 74 |
| 32.5 | 2.757 | 56 |
| 33.9 | 2.645 | 52 |
| 34.5 | 2.599 | 74 |
| 35.2 | 2.547 | 66 |
| 37.1 | 2.423 | 26 |
| 51.1 | 1.787 | 20 |
| 65.2 | 1.431 | 20 |

Structural model:
```
YHoMg5
1.0
3.1855 -4.8452 0.0000
3.1855 4.8452 0.0000
-2.2425 0.0000 6.1604
Y Ho Mg
1 1 5
Direct
0.0000 0.0000 0.0000 Y
0.5000 0.5000 0.5000 Ho
0.0000 0.0000 0.5000 Mg
0.0830 0.5078 0.7750 Mg
0.4922 0.9170 0.2250 Mg
0.5078 0.0830 0.7750 Mg
0.9170 0.4922 0.2250 Mg
```

=====

The following is a calculated powder X-ray diffraction pattern of TbNdYCd. It was derived from a crystal structure in Alexandria, relaxed with GGA-PBE, using Cu Kα, 1.54184 Å.
Neutral-atom scattering factors, no anomalous dispersion.

Principal peaks in the range 2θ from 10° to 90°, in order of rising 2θ:
| 2θ/deg | d/Å | I_rel |
| --- | --- | --- |
| 31.5 | 2.840 | 100 |
| 34.8 | 2.580 | 41 |
| 39.9 | 2.261 | 11 |
| 50.0 | 1.825 | 14 |
| 53.9 | 1.701 | 18 |
| 60.3 | 1.535 | 31 |
| 65.8 | 1.420 | 10 |
| 67.2 | 1.393 | 6 |
| 83.8 | 1.154 | 6 |
| 88.2 | 1.107 | 6 |

Structural model:
```
TbNdYCd
1.0
3.6493 0.0000 0.0000
0.0000 3.6493 0.0000
0.0000 0.0000 9.0439
Tb Nd Y Cd
1 1 1 1
Direct
0.0000 0.0000 0.0000 Tb
0.5000 0.5000 0.2778 Nd
0.0000 0.0000 0.5588 Y
0.5000 0.5000 0.7783 Cd
```

=====

The following is a calculated powder X-ray diffraction pattern of GeHBr2. It was derived from a crystal structure in Alexandria, relaxed with GGA-PBE, using Cu Kα, 1.54184 Å.
Neutral-atom scattering factors, no anomalous dispersion.

Principal peaks in the range 2θ from 10° to 90°, in order of rising 2θ:
| 2θ/deg | d/Å | I_rel |
| --- | --- | --- |
| 11.5 | 7.690 | 22 |
| 27.5 | 3.241 | 19 |
| 28.3 | 3.149 | 100 |
| 33.6 | 2.670 | 78 |
| 38.8 | 2.322 | 79 |
| 48.1 | 1.890 | 44 |
| 63.2 | 1.472 | 17 |
| 63.5 | 1.466 | 18 |
| 69.8 | 1.348 | 22 |
| 83.5 | 1.158 | 17 |

Structural model:
```
GeHBr2
1.0
1.8899 1.0911 7.6900
-1.8899 1.0911 7.6900
0.0000 -2.1823 7.6900
Ge H Br
1 1 2
Direct
0.0000 0.0000 0.0000 Ge
0.5000 0.5000 0.5000 H
0.4245 0.4245 0.4245 Br
0.5755 0.5755 0.5755 Br
```